# 1
Sm4P3O: theoretical X-ray diffraction stick pattern (Cu Ka), based on a GGA-PBE-relaxed structure.
Peak positions follow from Bragg's law for the DFT cell and can differ from measured ones.

Peak list (12 most intense, 5 to 70 degrees two-theta, by angle)
2θ (°)	I/Imax
27.5	91
31.8	100
34.8	2
41.7	2
45.5	12
45.6	59
54.0	29
54.1	14
56.6	13
56.7	12
66.4	8
66.6	4

Cell and atoms:
```
data_Sm4P3O
_chemical_formula_sum 'Sm4 P3 O1'
_symmetry_space_group_name_H-M 'P 1'
_symmetry_Int_Tables_number 1
_cell_length_a 6.884
_cell_length_b 6.884
_cell_length_c 3.986
_cell_angle_alpha 90.00
_cell_angle_beta 90.00
_cell_angle_gamma 109.44
loop_
_symmetry_equiv_pos_as_xyz
'x,y,z'
loop_
_atom_site_label
_atom_site_type_symbol
_atom_site_fract_x
_atom_site_fract_y
_atom_site_fract_z
Sm1 Sm 0.238 0.238 0.500
Sm2 Sm 0.242 0.758 0.000
Sm3 Sm 0.758 0.242 0.000
Sm4 Sm 0.762 0.762 0.500
P1 P 0.000 0.500 0.500
P2 P 0.500 0.000 0.500
P3 P 0.500 0.500 0.000
O1 O 0.000 0.000 0.001
```


# 2
SmZnPO: theoretical X-ray diffraction stick pattern (Cu Ka), based on a GGA-PBE-relaxed structure.
Peak positions follow from Bragg's law for the DFT cell and can differ from measured ones.

Peak list (12 most intense, 5 to 70 degrees two-theta, by angle)
2θ (°)	I/Imax
8.6	18
26.1	22
28.4	100
29.8	77
33.0	30
34.8	33
35.0	18
39.2	42
45.8	76
53.4	17
54.5	23
58.8	47

Cell and atoms:
```
data_SmZnPO
_chemical_formula_sum 'Sm2 Zn2 P2 O2'
_symmetry_space_group_name_H-M 'P 1'
_symmetry_Int_Tables_number 1
_cell_length_a 10.550
_cell_length_b 10.550
_cell_length_c 10.550
_cell_angle_alpha 21.67
_cell_angle_beta 21.67
_cell_angle_gamma 21.67
loop_
_symmetry_equiv_pos_as_xyz
'x,y,z'
loop_
_atom_site_label
_atom_site_type_symbol
_atom_site_fract_x
_atom_site_fract_y
_atom_site_fract_z
Sm1 Sm 0.119 0.119 0.119
Sm2 Sm 0.881 0.881 0.881
Zn1 Zn 0.304 0.304 0.304
Zn2 Zn 0.696 0.696 0.696
P1 P 0.387 0.387 0.387
P2 P 0.613 0.613 0.613
O1 O 0.195 0.195 0.195
O2 O 0.805 0.805 0.805
```